Entry 1:
Ac4Ga2Pb: calculated powder XRD pattern (Cu Kα (weighted mean of Kα1 and Kα2)), based on a cell relaxed with PBE.
Lines closer than 0.1° are merged.

Unit cell a=10.3229 b=8.9348 c=8.9231 alpha=70.63 beta=54.74 gamma=54.63
Atoms (fractional coordinates):
Ac 0.1207 0.3079 0.3086
Ac 0.2372 0.6914 0.6921
Ac 0.3079 0.1207 0.7628
Ac 0.3086 0.7628 0.1207
Ac 0.6914 0.2372 0.8793
Ac 0.6921 0.8793 0.2372
Ac 0.7628 0.3086 0.3079
Ac 0.8793 0.6921 0.6914
Ga 0.0000 0.0000 0.0000
Ga 0.0000 0.0000 0.5000
Ga 0.0000 0.5000 0.0000
Ga 0.5000 0.0000 0.0000
Pb 0.3750 0.3750 0.3750
Pb 0.6250 0.6250 0.6250

The 6 most intense peaks (10 to 90 degrees two-theta), in order of rising 2θ:
17.18°, I 23; 24.41°, I 41; 27.38°, I 100; 32.47°, I 60; 41.05°, I 35; 44.88°, I 27

Entry 2:
TbPmCuHg: calculated powder XRD pattern (Cu Kα (weighted mean of Kα1 and Kα2)), based on a cell relaxed with PBE.
Lines closer than 0.1° are merged.

Unit cell a=3.6089 b=3.6089 c=7.4929 alpha=90.00 beta=90.00 gamma=90.00
Atoms (fractional coordinates):
Tb 0.0000 0.0000 0.0000
Pm 0.0000 0.0000 0.5425
Cu 0.5000 0.5000 0.7867
Hg 0.5000 0.5000 0.2621

The 6 most intense peaks (10 to 90 degrees two-theta), in order of rising 2θ:
27.43°, I 17; 34.51°, I 100; 35.17°, I 50; 50.58°, I 18; 61.40°, I 16; 62.68°, I 35